(1)
This entry pairs a crystal structure of NaBiO2 with its theoretical powder diffractogram. Radiation: λ = 1.5418 Å (Cu Kα). Structure: a PBE-relaxed structure.

Top 10 peaks for 2θ from 5° to 70°, in order of rising 2θ:
- 4.546 Å, 2θ 19.53, I = 100, hkl 1 0 0
- 4.481 Å, 2θ 19.81, I = 24, hkl 1 0 -2
- 2.922 Å, 2θ 30.60, I = 50, hkl 1 1 1
- 2.883 Å, 2θ 31.02, I = 48, hkl 1 1 -3
- 2.738 Å, 2θ 32.71, I = 19, hkl 0 1 3
- 2.569 Å, 2θ 34.93, I = 29, hkl 0 2 0
- 2.552 Å, 2θ 35.16, I = 29, hkl 2 0 -2
- 2.426 Å, 2θ 37.05, I = 27, hkl 0 0 4
- 1.811 Å, 2θ 50.40, I = 19, hkl 2 2 -2
- 1.764 Å, 2θ 51.83, I = 19, hkl 0 2 4

Structural model:
Cell: 5.1054 5.1375 10.8776 Å, 90.00 116.84 90.00°
Space group P2/c (No. 13)
Symmetry-distinct sites (fractional):
Na 0.1267 0.2412 0.1262 x4
Bi 0.3877 0.2406 0.8767 x4
O 0.1963 0.2477 0.6315 x4
O 0.3660 0.1784 0.3784 x4

(2)
This entry pairs a crystal structure of PuTl2InCl8 with its theoretical powder diffractogram. Radiation: λ = 1.5418 Å (Cu Kα). Structure: a PBE-relaxed structure.

Top 10 peaks for 2θ from 5° to 70°, in order of rising 2θ:
- 5.012 Å, 2θ 17.70, I = 100, hkl 1 0 -1
- 4.816 Å, 2θ 18.42, I = 76, hkl 1 0 1
- 3.598 Å, 2θ 24.75, I = 80, hkl 0 0 2
- 3.543 Å, 2θ 25.14, I = 81, hkl 1 2 0
- 2.548 Å, 2θ 35.22, I = 35, hkl 1 2 -2
- 2.495 Å, 2θ 35.99, I = 25, hkl 1 2 2
- 2.485 Å, 2θ 36.15, I = 54, hkl 2 2 -1
- 2.436 Å, 2θ 36.90, I = 32, hkl 2 2 1
- 2.408 Å, 2θ 37.34, I = 24, hkl 2 0 2
- 2.075 Å, 2θ 43.63, I = 30, hkl 0 2 3

Structural model:
Cell: 6.7399 8.3318 7.1835 Å, 90.00 92.28 90.00°
Space group P2/m (No. 10)
Symmetry-distinct sites (fractional):
Pu 0.0000 0.0000 0.0000 x1
Tl 0.5000 0.2592 0.5000 x2
In 0.0000 0.5000 0.0000 x1
Cl 0.1888 0.5000 0.2971 x2
Cl 0.2203 0.2598 0.8776 x4
Cl 0.2241 0.0000 0.3158 x2

(3)
This entry pairs a crystal structure of CaZn2InPd4 with its theoretical powder diffractogram. Radiation: λ = 1.5418 Å (Cu Kα). Structure: a PBE-relaxed structure.

Top 10 peaks for 2θ from 5° to 70°, in order of rising 2θ:
- 7.487 Å, 2θ 11.82, I = 5, hkl 0 0 3
- 3.908 Å, 2θ 22.76, I = 3, hkl 1 0 1
- 3.241 Å, 2θ 27.52, I = 4, hkl 1 0 4
- 2.496 Å, 2θ 35.99, I = 1, hkl 0 0 9
- 2.292 Å, 2θ 39.32, I = 100, hkl 1 1 0
- 2.191 Å, 2θ 41.20, I = 2, hkl 1 1 3
- 1.816 Å, 2θ 50.25, I = 1, hkl 0 1 11
- 1.688 Å, 2θ 54.36, I = 2, hkl 1 1 9
- 1.620 Å, 2θ 56.82, I = 16, hkl 2 0 8
- 1.449 Å, 2θ 64.27, I = 1, hkl 2 1 4

Structural model:
Cell: 4.5823 4.5823 22.4617 Å, 90.00 90.00 120.00°
Space group R-3m (No. 166, hexagonal axes)
Symmetry-distinct sites (fractional):
Ca 0.0000 0.0000 0.0000 x3
Zn 0.0000 0.0000 0.2523 x6
In 0.0000 0.0000 0.5000 x3
Pd 0.0000 0.0000 0.1294 x6
Pd 0.0000 0.0000 0.3807 x6